No. 1
Starting from a GGA-PBE-relaxed structure, the XRD peak list of AlP was computed for Cu Kα X-rays.
No peak broadening, texture or thermal motion is included.

Peak list (10 most intense, 2θ from 15° to 90°, by angle)
2θ (°)	d_spacing	Rel. int.
26.49	3.365	1000
27.96	3.191	575
30.02	2.977	635
38.90	2.315	329
46.76	1.943	750
50.78	1.798	746
55.37	1.659	446
71.49	1.320	267
80.48	1.193	194
89.86	1.092	305

Atomic structure:
Cell lengths 3.886, 3.886, 6.382 Å; angles 90.00, 90.00, 120.00 degrees
Atoms (fractional coordinates):
Al (0.333, 0.667, 0.000)
Al (0.667, 0.333, 0.500)
P (0.333, 0.667, 0.375)
P (0.667, 0.333, 0.875)


No. 2
Starting from a GGA-PBE-relaxed structure, the XRD peak list of NaPrHfSnO6 was computed for Cu Kα X-rays.
No peak broadening, texture or thermal motion is included.

Peak list (10 most intense, 2θ from 15° to 90°, by angle)
2θ (°)	d_spacing	Rel. int.
18.82	4.714	205
21.77	4.083	179
30.98	2.887	1000
36.50	2.462	117
44.38	2.041	314
49.95	1.826	77
55.10	1.667	411
64.56	1.443	195
73.33	1.291	180
89.90	1.091	226

Atomic structure:
Cell lengths 5.774, 5.774, 5.774 Å; angles 60.00, 60.00, 60.00 degrees
Atoms (fractional coordinates):
Na (0.000, 0.000, 0.000)
Pr (0.500, 0.500, 0.500)
Hf (0.250, 0.250, 0.250)
Sn (0.750, 0.750, 0.750)
O (0.000, 0.000, 0.500)
O (0.000, 0.500, 0.000)
O (0.000, 0.500, 0.500)
O (0.500, 0.000, 0.000)
O (0.500, 0.000, 0.500)
O (0.500, 0.500, 0.000)


No. 3
Starting from a GGA-PBE-relaxed structure, the XRD peak list of Hg2TeS was computed for Cu Kα X-rays.
No peak broadening, texture or thermal motion is included.

Peak list (10 most intense, 2θ from 15° to 90°, by angle)
2θ (°)	d_spacing	Rel. int.
24.30	3.663	1000
28.13	3.172	158
36.80	2.442	75
40.20	2.243	663
47.53	1.913	476
58.16	1.586	106
63.96	1.456	187
73.06	1.295	208
78.30	1.221	133
86.84	1.122	66

Atomic structure:
Cell lengths 7.771, 7.771, 7.771 Å; angles 33.55, 33.55, 33.55 degrees
Atoms (fractional coordinates):
Hg (0.000, 0.000, 0.000)
Hg (0.485, 0.485, 0.485)
Te (0.615, 0.615, 0.615)
S (0.117, 0.117, 0.117)


No. 4
Starting from a GGA-PBE-relaxed structure, the XRD peak list of La2Ge5Ir3 was computed for Cu Kα X-rays.
No peak broadening, texture or thermal motion is included.

Peak list (10 most intense, 2θ from 15° to 90°, by angle)
2θ (°)	d_spacing	Rel. int.
23.60	3.770	449
31.17	2.870	243
33.25	2.694	1000
33.87	2.646	586
34.23	2.620	538
41.74	2.164	946
45.85	1.979	222
48.86	1.864	216
54.13	1.694	252
54.62	1.680	197

Atomic structure:
Cell lengths 8.551, 8.551, 8.551 Å; angles 105.71, 89.37, 137.75 degrees
Atoms (fractional coordinates):
La (0.132, 0.231, 0.363)
La (0.368, 0.731, 0.099)
La (0.632, 0.269, 0.901)
La (0.868, 0.769, 0.637)
Ge (0.023, 0.750, 0.273)
Ge (0.102, 0.657, 0.759)
Ge (0.250, 0.250, 0.000)
Ge (0.398, 0.157, 0.556)
Ge (0.477, 0.750, 0.727)
Ge (0.523, 0.250, 0.273)
Ge (0.602, 0.843, 0.444)
Ge (0.750, 0.750, 0.000)
Ge (0.898, 0.343, 0.241)
Ge (0.977, 0.250, 0.727)
Ir (0.140, 0.890, 0.030)
Ir (0.250, 0.750, 0.500)
Ir (0.360, 0.390, 0.750)
Ir (0.640, 0.610, 0.250)
Ir (0.750, 0.250, 0.500)
Ir (0.860, 0.110, 0.970)


No. 5
Starting from a GGA-PBE-relaxed structure, the XRD peak list of Nd4Ag2Se7 was computed for Cu Kα X-rays.
No peak broadening, texture or thermal motion is included.

Peak list (10 most intense, 2θ from 15° to 90°, by angle)
2θ (°)	d_spacing	Rel. int.
24.60	3.618	269
31.39	2.849	525
31.80	2.814	534
32.06	2.791	1000
32.25	2.775	439
32.44	2.760	368
37.64	2.390	253
38.25	2.353	376
38.51	2.338	371
38.71	2.326	391

Atomic structure:
Cell lengths 7.518, 12.392, 7.856 Å; angles 90.00, 108.89, 90.00 degrees
Atoms (fractional coordinates):
Nd (0.000, 0.061, 0.000)
Nd (0.000, 0.939, 0.500)
Nd (0.430, 0.148, 0.792)
Nd (0.430, 0.852, 0.292)
Nd (0.620, 0.206, 0.350)
Nd (0.620, 0.794, 0.850)
Nd (0.927, 0.371, 0.801)
Nd (0.927, 0.629, 0.301)
Ag (0.135, 0.315, 0.367)
Ag (0.135, 0.685, 0.867)
Ag (0.541, 0.444, 0.001)
Ag (0.541, 0.556, 0.501)
Se (0.007, 0.169, 0.636)
Se (0.007, 0.831, 0.136)
Se (0.273, 0.068, 0.371)
Se (0.273, 0.932, 0.871)
Se (0.295, 0.291, 0.049)
Se (0.295, 0.709, 0.549)
Se (0.490, 0.346, 0.602)
Se (0.490, 0.654, 0.102)
Se (0.682, 0.005, 0.169)
Se (0.682, 0.995, 0.669)
Se (0.788, 0.251, 0.046)
Se (0.788, 0.749, 0.546)
Se (0.842, 0.424, 0.417)
Se (0.842, 0.576, 0.917)